Simulated powder diffraction line list of MoIr2Pd for copper Kα, from a DFT-relaxed cell (PBE, OQMD).
Intensities are scaled so that the largest is 100.

```
MoIr2Pd
1.0
4.4378 0.0000 0.0000
0.0000 2.7690 4.8236
0.0000 -2.7690 4.8236
Mo Ir Pd
2 4 2
Direct
0.0000 0.0000 0.0000
0.5000 0.3384 0.3384
0.0000 0.5028 0.5028
0.5000 0.3375 0.8333
0.5000 0.8333 0.3375
0.5000 0.8395 0.8395
0.0000 0.0031 0.4983
0.0000 0.4983 0.0031
```

Largest 10 diffraction maxima, in order of rising 2θ, 2θ from 10° to 80°:
2θ = 37.3°, d 2.412, I 12
2θ = 37.4°, d 2.401, I 27
2θ = 40.7°, d 2.219, I 39
2θ = 42.7°, d 2.119, I 53
2θ = 42.8°, d 2.112, I 100
2θ = 56.5°, d 1.630, I 17
2θ = 67.3°, d 1.390, I 17
2θ = 67.7°, d 1.384, I 9
2θ = 75.4°, d 1.261, I 10
2θ = 75.5°, d 1.259, I 19